No. 1
# CdAg2Ru
Calculated X-ray powder pattern, Cu Kα (weighted mean of Kα1 and Kα2). Input: DFT lattice parameters and positions (PBE).
Intensities are scaled so that the largest is 100.

Structural model:
```
CdAg2Ru
1.0
1.443 0.833 9.580
-1.443 0.833 9.580
0.000 -1.666 9.580
Cd Ag Ru
1 2 1
direct
0.000 0.000 0.000 Cd
0.246 0.246 0.246 Ag
0.495 0.495 0.495 Ag
0.748 0.748 0.748 Ru
```

Main lines, in order of rising 2θ (2θ = 15–90°):
2theta  I (rel.)
37.55  34
38.13  100
44.15  65
63.82  20
64.60  20
77.19  23

No. 2
# CdAgSbS4
Calculated X-ray powder pattern, Cu Kα (weighted mean of Kα1 and Kα2). Input: DFT lattice parameters and positions (PBE).
Intensities are scaled so that the largest is 100.

Structural model:
```
CdAgSbS4
1.0
-3.851 3.865 5.514
3.851 -3.865 5.514
3.851 3.865 -5.514
Cd Ag Sb S
2 2 2 8
direct
0.500 0.000 0.000 Cd
0.500 0.500 0.500 Cd
0.103 0.353 0.750 Ag
0.897 0.647 0.250 Ag
0.000 0.000 0.000 Sb
0.500 0.000 0.500 Sb
0.243 0.227 0.016 S
0.248 0.231 0.483 S
0.248 0.764 0.017 S
0.288 0.773 0.516 S
0.712 0.227 0.484 S
0.752 0.236 0.983 S
0.752 0.769 0.517 S
0.757 0.773 0.984 S
```

Main lines, in order of rising 2θ (2θ = 15–90°):
2theta  I (rel.)
22.95  30
26.87  47
27.08  100
32.83  26
43.01  24
46.85  57

No. 3
# CdSiAg2S4
Calculated X-ray powder pattern, Cu Kα (weighted mean of Kα1 and Kα2). Input: DFT lattice parameters and positions (PBE).
Intensities are scaled so that the largest is 100.

Structural model:
```
CdSiAg2S4
1.0
-2.799 2.799 5.816
2.799 -2.799 5.816
2.799 2.799 -5.816
Cd Si Ag S
1 1 2 4
direct
0.000 0.000 0.000 Cd
0.500 0.500 0.000 Si
0.250 0.750 0.500 Ag
0.750 0.250 0.500 Ag
0.171 0.605 0.000 S
0.395 0.395 0.566 S
0.605 0.171 0.000 S
0.829 0.829 0.434 S
```

Main lines, in order of rising 2θ (2θ = 15–90°):
2theta  I (rel.)
27.25  100
31.97  13
44.95  37
45.84  17
52.57  14
54.15  26

No. 4
# CdAg2TeS4
Calculated X-ray powder pattern, Cu Kα (weighted mean of Kα1 and Kα2). Input: DFT lattice parameters and positions (PBE).
Intensities are scaled so that the largest is 100.

Structural model:
```
CdAg2TeS4
1.0
-3.865 3.877 5.529
3.865 -3.877 5.529
3.865 3.877 -5.529
Cd Ag Te S
2 4 2 8
direct
0.500 0.000 0.000 Cd
0.500 0.500 0.500 Cd
0.000 0.000 0.000 Ag
0.000 0.000 0.500 Ag
0.000 0.500 0.000 Ag
0.500 0.000 0.500 Ag
0.000 0.500 0.500 Te
0.500 0.500 0.000 Te
0.249 0.249 0.500 S
0.249 0.748 0.000 S
0.250 0.746 0.504 S
0.259 0.254 0.004 S
0.741 0.746 0.996 S
0.750 0.254 0.496 S
0.751 0.252 0.000 S
0.751 0.751 0.500 S
```

Main lines, in order of rising 2θ (2θ = 15–90°):
2theta  I (rel.)
28.14  89
32.39  51
32.72  100
46.70  70
58.12  18
77.91  22

No. 5
# CdAg4Sb
Calculated X-ray powder pattern, Cu Kα (weighted mean of Kα1 and Kα2). Input: DFT lattice parameters and positions (PBE).
Intensities are scaled so that the largest is 100.

Structural model:
```
CdAg4Sb
1.0
2.582 -4.533 0.000
2.582 4.533 0.000
-0.040 0.000 5.123
Cd Ag Sb
1 4 1
direct
0.000 0.000 0.000 Cd
0.168 0.832 0.500 Ag
0.328 0.672 0.000 Ag
0.672 0.328 0.000 Ag
0.832 0.168 0.500 Ag
0.500 0.500 0.500 Sb
```

Main lines, in order of rising 2θ (2θ = 15–90°):
2theta  I (rel.)
34.75  68
35.03  66
38.68  100
38.81  99
49.96  23
65.14  40

No. 6
# Cd6Ag8Sb
Calculated X-ray powder pattern, Cu Kα (weighted mean of Kα1 and Kα2). Input: DFT lattice parameters and positions (PBE).
Intensities are scaled so that the largest is 100.

Structural model:
```
Cd6Ag8Sb
1.0
3.866 2.232 6.075
-3.866 2.232 6.075
0.000 -4.464 6.075
Cd Ag Sb
6 8 1
direct
0.147 0.606 0.436 Cd
0.394 0.564 0.853 Cd
0.436 0.147 0.606 Cd
0.564 0.853 0.394 Cd
0.606 0.436 0.147 Cd
0.853 0.394 0.564 Cd
0.110 0.878 0.641 Ag
0.122 0.359 0.890 Ag
0.256 0.256 0.256 Ag
0.359 0.890 0.122 Ag
0.641 0.110 0.878 Ag
0.744 0.744 0.744 Ag
0.878 0.641 0.110 Ag
0.890 0.122 0.359 Ag
0.000 0.000 0.000 Sb
```

Main lines, in order of rising 2θ (2θ = 15–90°):
2theta  I (rel.)
33.21  28
36.86  100
37.66  42
40.79  70
41.89  22
63.69  21

No. 7
# Cd5Ag6Sb
Calculated X-ray powder pattern, Cu Kα (weighted mean of Kα1 and Kα2). Input: DFT lattice parameters and positions (PBE).
Intensities are scaled so that the largest is 100.

Structural model:
```
Cd5Ag6Sb
1.0
2.229 -6.741 0.000
2.229 6.741 0.000
0.000 0.000 7.995
Cd Ag Sb
5 6 1
direct
0.000 0.000 0.000 Cd
0.330 0.670 0.500 Cd
0.335 0.665 0.000 Cd
0.665 0.335 0.000 Cd
0.670 0.330 0.500 Cd
0.170 0.830 0.244 Ag
0.170 0.830 0.756 Ag
0.500 0.500 0.245 Ag
0.500 0.500 0.755 Ag
0.830 0.170 0.244 Ag
0.830 0.170 0.756 Ag
0.000 0.000 0.500 Sb
```

Main lines, in order of rising 2θ (2θ = 15–90°):
2theta  I (rel.)
36.20  100
40.13  19
40.47  18
45.37  13
70.36  13
70.82  13

No. 8
# Cd2Ag7SnSb2
Calculated X-ray powder pattern, Cu Kα (weighted mean of Kα1 and Kα2). Input: DFT lattice parameters and positions (PBE).
Intensities are scaled so that the largest is 100.

Structural model:
```
Cd2Ag7SnSb2
1.0
3.059 -3.115 0.000
3.059 3.115 0.000
-0.013 0.000 13.308
Cd Ag Sn Sb
2 7 1 2
direct
0.001 0.001 0.314 Cd
0.999 0.999 0.686 Cd
0.000 0.000 0.000 Ag
0.001 0.501 0.155 Ag
0.243 0.243 0.500 Ag
0.499 0.999 0.845 Ag
0.501 0.001 0.155 Ag
0.757 0.757 0.500 Ag
0.999 0.499 0.845 Ag
0.500 0.500 0.000 Sn
0.499 0.499 0.684 Sb
0.501 0.501 0.316 Sb
```

Main lines, in order of rising 2θ (2θ = 15–90°):
2theta  I (rel.)
35.20  46
35.66  100
39.63  23
40.68  29
41.37  32
71.18  26

No. 9
# CdAg7Sn2Sb2
Calculated X-ray powder pattern, Cu Kα (weighted mean of Kα1 and Kα2). Input: DFT lattice parameters and positions (PBE).
Intensities are scaled so that the largest is 100.

Structural model:
```
CdAg7Sn2Sb2
1.0
2.868 -2.862 0.000
2.868 2.862 0.000
-2.598 0.000 15.946
Cd Ag Sn Sb
1 7 2 2
direct
0.000 0.000 0.000 Cd
0.064 0.564 0.139 Ag
0.271 0.271 0.539 Ag
0.436 0.936 0.861 Ag
0.500 0.500 0.000 Ag
0.564 0.064 0.139 Ag
0.729 0.729 0.461 Ag
0.936 0.436 0.861 Ag
0.365 0.365 0.721 Sn
0.635 0.635 0.279 Sn
0.180 0.180 0.364 Sb
0.820 0.820 0.636 Sb
```

Main lines, in order of rising 2θ (2θ = 15–90°):
2theta  I (rel.)
31.77  48
35.63  60
37.94  42
38.38  62
38.73  42
44.73  100

No. 10
# ZnCd2Ag7Sb2
Calculated X-ray powder pattern, Cu Kα (weighted mean of Kα1 and Kα2). Input: DFT lattice parameters and positions (PBE).
Intensities are scaled so that the largest is 100.

Structural model:
```
ZnCd2Ag7Sb2
1.0
3.026 -3.069 0.000
3.026 3.069 0.000
-0.069 0.000 13.109
Zn Cd Ag Sb
1 2 7 2
direct
0.000 0.000 0.000 Zn
0.499 0.499 0.309 Cd
0.501 0.501 0.691 Cd
0.001 0.500 0.146 Ag
0.256 0.256 0.500 Ag
0.500 0.001 0.146 Ag
0.500 0.500 0.000 Ag
0.500 0.999 0.854 Ag
0.744 0.744 0.500 Ag
0.999 0.500 0.854 Ag
0.002 0.002 0.687 Sb
0.998 0.998 0.313 Sb
```

Main lines, in order of rising 2θ (2θ = 15–90°):
2theta  I (rel.)
29.90  51
35.75  84
36.01  100
36.20  98
40.26  62
41.93  64

No. 11
# Sc2Cd4Ag
Calculated X-ray powder pattern, Cu Kα (weighted mean of Kα1 and Kα2). Input: DFT lattice parameters and positions (PBE).
Intensities are scaled so that the largest is 100.

Structural model:
```
Sc2Cd4Ag
1.0
2.474 1.428 7.055
-2.474 1.428 7.055
0.000 -2.856 7.055
Sc Cd Ag
2 4 1
direct
0.215 0.215 0.215 Sc
0.785 0.785 0.785 Sc
0.074 0.074 0.074 Cd
0.364 0.364 0.364 Cd
0.636 0.636 0.636 Cd
0.926 0.926 0.926 Cd
0.500 0.500 0.500 Ag
```

Main lines, in order of rising 2θ (2θ = 15–90°):
2theta  I (rel.)
22.39  7
36.34  100
52.34  16
65.36  25
65.47  7
88.42  14

No. 12
# ScCd2Ag6
Calculated X-ray powder pattern, Cu Kα (weighted mean of Kα1 and Kα2). Input: DFT lattice parameters and positions (PBE).
Intensities are scaled so that the largest is 100.

Structural model:
```
ScCd2Ag6
1.0
7.215 -4.166 0.000
7.215 4.166 0.000
-0.018 0.000 2.904
Sc Cd Ag
1 2 6
direct
0.000 0.000 0.000 Sc
0.333 0.333 0.000 Cd
0.667 0.667 0.000 Cd
0.000 0.331 0.510 Ag
0.000 0.669 0.490 Ag
0.331 0.000 0.510 Ag
0.331 0.669 0.500 Ag
0.669 0.000 0.490 Ag
0.669 0.331 0.500 Ag
```

Main lines, in order of rising 2θ (2θ = 15–90°):
2theta  I (rel.)
30.79  10
37.39  100
37.71  54
37.86  27
67.46  21
79.74  10